(1)
This entry pairs a crystal structure of NiPdS with its simulated X-ray diffraction stick pattern. Radiation: CuKα. Structure: the PBE geometry in OQMD.

Structure:
```
NiPdS
1.0
5.6374 0.0000 0.0000
0.0000 5.6374 0.0000
0.0000 0.0000 5.6374
Ni Pd S
4 4 4
direct
0.0645 0.4355 0.5645
0.4355 0.5645 0.0645
0.5645 0.0645 0.4355
0.9355 0.9355 0.9355
0.1707 0.8293 0.3293
0.3293 0.1707 0.8293
0.6707 0.6707 0.6707
0.8293 0.3293 0.1707
0.0649 0.5649 0.9351
0.4351 0.4351 0.4351
0.5649 0.9351 0.0649
0.9351 0.0649 0.5649
```

Largest 12 diffraction maxima, by intensity, 2θ from 10° to 90°:
Position (°2θ)	Rel. int.	h k l
39.1	100	2 1 1
35.6	93	2 1 0
27.4	79	1 1 1
51.2	67	3 0 1
61.6	50	3 1 2
88.4	41	5 1 0
45.5	30	2 2 0
68.6	23	4 1 0
84.1	23	4 2 2
48.4	21	2 2 1
59.1	17	3 2 0
77.6	10	4 2 1

(2)
This entry pairs a crystal structure of Zr2SiGeTe2 with its simulated X-ray diffraction stick pattern. Radiation: CuKα. Structure: the PBE geometry in OQMD.

Structure:
```
Zr2SiGeTe2
1.0
3.7538 0.0000 0.0000
0.0000 3.7538 0.0000
0.0000 0.0000 9.5515
Zr Si Ge Te
2 1 1 2
direct
0.0000 0.5000 0.2253
0.5000 0.0000 0.7747
0.0000 0.0000 0.0000
0.5000 0.5000 0.0000
0.0000 0.5000 0.6398
0.5000 0.0000 0.3602
```

Largest 12 diffraction maxima, by intensity, 2θ from 10° to 90°:
Position (°2θ)	Rel. int.	h k l
30.3	100	1 0 2
38.8	59	1 1 2
37.0	53	1 0 3
33.8	44	1 1 0
48.5	41	2 0 0
35.1	40	1 1 1
58.3	31	2 1 2
53.8	29	1 0 5
62.6	22	2 1 3
75.4	21	2 1 5
78.9	19	1 1 7
28.0	19	0 0 3